Calculated X-ray powder pattern of KNpFe2O8 for Cu Kα (weighted mean of Kα1 and Kα2), from a GGA+U-relaxed structure.

Structural model:
Unit cell a=5.7301 b=5.7301 c=7.7337 alpha=90.00 beta=90.00 gamma=120.00
Positions (direct):
K: 0.0000 0.0000 0.0000
Np: 0.0000 0.0000 0.5000
Fe: 0.3333 0.6667 0.7282
Fe: 0.6667 0.3333 0.2718
O: 0.0898 0.3162 0.6551
O: 0.2264 0.9102 0.6551
O: 0.3162 0.2264 0.3449
O: 0.3333 0.6667 0.9444
O: 0.6667 0.3333 0.0556
O: 0.6838 0.7736 0.6551
O: 0.7736 0.0898 0.3449
O: 0.9102 0.6838 0.3449

Top 10 peaks for 5 to 70 degrees two-theta, by angle:
d 7.734, I 57
d 4.962, I 56
d 4.177, I 100
d 3.050, I 72
d 2.865, I 47
d 2.288, I 16
d 2.088, I 29
d 1.823, I 19
d 1.688, I 27
d 1.603, I 18